The following is a computed XRD peak list of YMg. It was derived from DFT lattice parameters and positions (PBE), using CuKα.
Intensities are scaled so that the largest is 100.

Structural model:
Cell lengths 12.441, 3.460, 5.759 Å; angles 90.00, 114.39, 90.00 degrees
Space group C2/m (No. 12)
Asymmetric unit:
Y  0.121  0.000  0.302 [4 per cell]
Mg  0.132  0.500  0.803 [4 per cell]

The 8 most intense peaks (5 to 70 degrees two-theta), in order of falling intensity:
two_theta, Rel. int., hkl
33.73, 100, 1 1 1
34.54, 97, 3 1 -1
17.68, 82, 2 0 -1
31.58, 74, 4 0 0
26.95, 40, 1 1 0
34.19, 38, 0 0 2
27.53, 32, 2 0 1
30.15, 32, 1 1 -1


The following is a computed XRD peak list of SrEu4O5. It was derived from DFT lattice parameters and positions (PBE), using CuKα.
Intensities are scaled so that the largest is 100.

Structural model:
Cell lengths 8.079, 8.079, 5.110 Å; angles 90.00, 90.00, 90.00 degrees
Space group I4/m (No. 87)
Asymmetric unit:
Sr  0.000  0.000  0.000 [2 per cell]
Eu  0.100  0.699  0.500 [8 per cell]
O  0.000  0.000  0.500 [2 per cell]
O  0.102  0.695  0.000 [8 per cell]

The 8 most intense peaks (5 to 70 degrees two-theta), in order of falling intensity:
two_theta, Rel. int., hkl
30.30, 100, 1 2 1
35.12, 82, 3 1 0
50.52, 57, 3 1 2
60.05, 46, 5 0 1
63.02, 19, 2 4 2
15.51, 3, 1 1 0
20.57, 3, 1 0 1
22.00, 1, 2 0 0


The following is a computed XRD peak list of ZnCuAsO5. It was derived from DFT lattice parameters and positions (PBE), using CuKα.
Intensities are scaled so that the largest is 100.

Structural model:
Cell lengths 8.700, 8.899, 5.814 Å; angles 90.00, 90.00, 90.00 degrees
Space group Pnnm (No. 58)
Asymmetric unit:
Zn  0.149  0.109  0.000 [4 per cell]
Cu  0.000  0.500  0.254 [4 per cell]
As  0.227  0.745  0.000 [4 per cell]
O  0.094  0.889  0.000 [4 per cell]
O  0.116  0.566  0.500 [4 per cell]
O  0.124  0.571  0.000 [4 per cell]
O  0.161  0.250  0.261 [8 per cell]

The 8 most intense peaks (5 to 70 degrees two-theta), in order of falling intensity:
two_theta, Rel. int., hkl
28.70, 100, 2 2 0
35.51, 66, 1 3 1
18.23, 59, 0 1 1
14.24, 53, 1 1 0
18.35, 51, 1 0 1
20.91, 44, 1 1 1
34.04, 42, 1 1 2
56.77, 42, 4 2 2


The following is a computed XRD peak list of ScPPt. It was derived from DFT lattice parameters and positions (PBE), using CuKα.
Intensities are scaled so that the largest is 100.

Structural model:
Cell lengths 6.645, 3.859, 7.483 Å; angles 90.00, 90.00, 90.00 degrees
Space group Pnma (No. 62)
Asymmetric unit:
Sc  0.032  0.250  0.181 [4 per cell]
P  0.245  0.250  0.875 [4 per cell]
Pt  0.152  0.250  0.562 [4 per cell]

The 8 most intense peaks (5 to 70 degrees two-theta), in order of falling intensity:
two_theta, Rel. int., hkl
29.30, 100, 1 1 1
35.66, 85, 2 1 0
17.85, 77, 1 0 1
36.08, 61, 1 1 2
43.19, 54, 0 1 3
45.44, 50, 2 0 3
42.57, 44, 3 0 1
43.31, 34, 2 1 2


The following is a computed XRD peak list of IrSe. It was derived from DFT lattice parameters and positions (PBE), using CuKα.
Intensities are scaled so that the largest is 100.

Structural model:
Cell lengths 3.8039, 3.8039, 6.8568 Å; angles 90.00, 90.00, 120.00 degrees
Space group P6_3mc (No. 186)
Asymmetric unit:
Ir  0.3333  0.6667  0.0000 [2 per cell]
Se  0.3333  0.6667  0.3580 [2 per cell]

The 8 most intense peaks (5 to 70 degrees two-theta), in order of falling intensity:
two_theta, Rel. int., hkl
30.10, 100, 1 0 1
48.48, 81, 1 0 3
27.07, 69, 1 0 0
47.82, 59, 1 1 0
25.99, 50, 0 0 2
55.23, 38, 1 1 2
37.88, 28, 1 0 2
57.55, 17, 2 0 1


The following is a computed XRD peak list of BeW2Cl. It was derived from DFT lattice parameters and positions (PBE), using CuKα.
Intensities are scaled so that the largest is 100.

Structural model:
Cell lengths 5.999, 5.999, 5.999 Å; angles 90.00, 90.00, 90.00 degrees
Space group Fm-3m (No. 225)
Asymmetric unit:
Be  0.000  0.000  0.000 [4 per cell]
W  0.250  0.250  0.250 [8 per cell]
Cl  0.000  0.000  0.500 [4 per cell]

The 6 most intense peaks (5 to 70 degrees two-theta), in order of falling intensity:
two_theta, Rel. int., hkl
42.63, 100, 2 2 0
29.79, 82, 2 0 0
52.87, 23, 2 2 2
61.87, 17, 4 0 0
25.72, 1, 1 1 1
50.45, 1, 3 1 1


The following is a computed XRD peak list of Sm3B3O7. It was derived from DFT lattice parameters and positions (PBE), using CuKα.
Intensities are scaled so that the largest is 100.

Structural model:
Cell lengths 25.480, 3.930, 7.237 Å; angles 90.00, 90.00, 90.00 degrees
Space group Amm2 (No. 38)
Asymmetric unit:
Sm  0.082  0.000  0.000 [4 per cell]
Sm  0.245  0.000  0.002 [4 per cell]
Sm  0.418  0.000  0.997 [4 per cell]
B  0.000  0.000  0.238 [2 per cell]
B  0.164  0.000  0.756 [4 per cell]
B  0.331  0.000  0.354 [4 per cell]
B  0.500  0.000  0.748 [2 per cell]
O  0.047  0.000  0.333 [4 per cell]
O  0.117  0.000  0.660 [4 per cell]
O  0.211  0.000  0.657 [4 per cell]
O  0.280  0.000  0.325 [4 per cell]
O  0.331  0.000  0.970 [4 per cell]
O  0.382  0.000  0.322 [4 per cell]
O  0.453  0.000  0.651 [4 per cell]

The 8 most intense peaks (5 to 70 degrees two-theta), in order of falling intensity:
two_theta, Rel. int., hkl
33.44, 100, 6 1 1
25.80, 91, 0 1 1
20.92, 83, 6 0 0
32.51, 58, 6 0 2
50.45, 50, 12 1 1
24.60, 48, 0 0 2
44.04, 41, 0 1 3
49.24, 39, 6 1 3